Diffraction record for Ba2Cu3F10. The powder diffraction line list is computed, not measured: it uses a crystal structure in Alexandria, relaxed with GGA-PBE and Cu Kα.
Kinematic intensities with the Lorentz-polarization factor, no thermal factor.

Crystal structure
```
data_Ba2Cu3F10
_cell_length_a 18.784
_cell_length_b 5.997
_cell_length_c 8.089
_cell_angle_alpha 90.00
_cell_angle_beta 111.19
_cell_angle_gamma 90.00
_space_group_name_H-M_alt 'C 1 2/m 1'
_space_group_IT_number 12
_space_group_name_Hall '-C 2y'
loop_
_atom_site_label
_atom_site_fract_x
_atom_site_fract_y
_atom_site_fract_z
Ba1 0.114 0.000 0.224
Ba2 0.216 0.000 0.807
Cu1 0.000 0.247 0.500
Cu2 0.076 0.500 0.957
Cu3 0.179 0.500 0.517
F1 0.000 0.279 0.000
F2 0.017 0.000 0.681
F3 0.022 0.500 0.680
F4 0.112 0.238 0.527
F5 0.138 0.500 0.256
F6 0.151 0.261 0.982
F7 0.236 0.500 0.774
F8 0.250 0.250 0.500
```

Principal peaks in the range 2θ from 10° to 90°, by angle:
two_theta  I/Imax  (hkl)
26.8  48  1 1 -2
26.9  100  3 1 1
27.4  76  3 1 -2
28.5  71  6 0 -1
29.8  30  0 2 0
38.4  41  0 2 2
41.7  63  6 2 -1
50.2  23  9 1 -3
51.1  22  3 3 1
51.3  23  2 2 3

---

Diffraction record for Li3B4C4. The powder diffraction line list is computed, not measured: it uses a crystal structure in Alexandria, relaxed with GGA-PBE and Cu Kα.
Kinematic intensities with the Lorentz-polarization factor, no thermal factor.

Crystal structure
```
data_Li3B4C4
_cell_length_a 7.177
_cell_length_b 2.723
_cell_length_c 9.458
_cell_angle_alpha 90.00
_cell_angle_beta 90.00
_cell_angle_gamma 90.00
_space_group_name_H-M_alt 'P m m a'
_space_group_IT_number 51
_space_group_name_Hall '-P 2a 2a'
loop_
_atom_site_label
_atom_site_fract_x
_atom_site_fract_y
_atom_site_fract_z
Li1 0.000 0.000 0.000
Li2 0.001 0.500 0.266
B1 0.250 0.000 0.169
B2 0.250 0.000 0.665
B3 0.250 0.500 0.421
B4 0.250 0.500 0.916
C1 0.250 0.000 0.335
C2 0.250 0.000 0.833
C3 0.250 0.500 0.084
C4 0.250 0.500 0.585
```

Principal peaks in the range 2θ from 10° to 90°, by angle:
two_theta  I/Imax  (hkl)
24.8  100  2 0 0
38.0  4  0 0 4
38.1  6  0 1 2
46.0  52  2 1 2
50.9  17  4 0 0
68.8  11  0 1 6
69.0  6  0 2 0
74.4  7  2 1 6
74.5  3  2 2 0
86.9  4  2 2 4

---

Diffraction record for Nd2Ga3Pt. The powder diffraction line list is computed, not measured: it uses a crystal structure in Alexandria, relaxed with GGA-PBE and Cu Kα.
Kinematic intensities with the Lorentz-polarization factor, no thermal factor.

Crystal structure
```
data_Nd2Ga3Pt
_cell_length_a 10.586
_cell_length_b 4.523
_cell_length_c 7.427
_cell_angle_alpha 90.00
_cell_angle_beta 133.04
_cell_angle_gamma 90.00
_space_group_name_H-M_alt 'C 1 m 1'
_space_group_IT_number 8
_space_group_name_Hall 'C -2y'
loop_
_atom_site_label
_atom_site_fract_x
_atom_site_fract_y
_atom_site_fract_z
Nd1 0.000 0.000 0.000
Nd2 0.091 0.000 0.599
Ga1 0.212 0.500 0.395
Ga2 0.380 0.000 0.196
Ga3 0.391 0.000 0.597
Pt1 0.215 0.500 0.014
```

Principal peaks in the range 2θ from 10° to 90°, by angle:
two_theta  I/Imax  (hkl)
32.5  38  1 1 1
33.0  100  0 0 2
33.5  68  3 1 -2
33.9  22  4 0 -2
38.5  18  4 0 -3
39.9  45  0 2 0
40.3  65  3 1 0
52.7  20  0 2 2
65.3  16  7 1 -3
70.5  15  3 1 -5

---

Diffraction record for Sr2CeH4. The powder diffraction line list is computed, not measured: it uses a crystal structure in Alexandria, relaxed with GGA-PBE and Cu Kα.
Kinematic intensities with the Lorentz-polarization factor, no thermal factor.

Crystal structure
```
data_Sr2CeH4
_cell_length_a 4.437
_cell_length_b 4.437
_cell_length_c 13.629
_cell_angle_alpha 90.00
_cell_angle_beta 90.00
_cell_angle_gamma 90.00
_space_group_name_H-M_alt 'I 4/m m m'
_space_group_IT_number 139
_space_group_name_Hall '-I 4 2'
loop_
_atom_site_label
_atom_site_fract_x
_atom_site_fract_y
_atom_site_fract_z
Sr1 0.000 0.000 0.148
Ce1 0.000 0.000 0.500
H1 0.000 0.000 0.328
H2 0.000 0.500 0.000
```

Principal peaks in the range 2θ from 10° to 90°, by angle:
two_theta  I/Imax  (hkl)
13.0  14  0 0 2
28.1  100  1 0 3
28.4  53  1 1 0
38.8  11  1 0 5
40.7  21  2 0 0
49.5  17  1 1 6
50.2  40  2 1 3
58.1  11  2 0 6
80.5  12  3 1 6
80.9  10  3 2 3

---

Diffraction record for Na2PbF4. The powder diffraction line list is computed, not measured: it uses a crystal structure in Alexandria, relaxed with GGA-PBE and Cu Kα.
Kinematic intensities with the Lorentz-polarization factor, no thermal factor.

Crystal structure
```
data_Na2PbF4
_cell_length_a 6.986
_cell_length_b 6.986
_cell_length_c 9.807
_cell_angle_alpha 90.00
_cell_angle_beta 90.00
_cell_angle_gamma 90.00
_space_group_name_H-M_alt 'I 41/a m d'
_space_group_IT_number 141
loop_
_space_group_symop_operation_xyz
'x,y,z'
'-x,-y,-z'
'-y+1/4,x+3/4,z+1/4'
'y+1/4,-x+3/4,-z+1/4'
'-x+1/2,-y,z+1/2'
'x+1/2,y,-z+1/2'
'y+1/4,-x+1/4,z+3/4'
'-y+1/4,x+1/4,-z+3/4'
'x,-y,-z'
'-x,y,z'
'-y+1/4,-x+1/4,-z+3/4'
'y+1/4,x+1/4,z+3/4'
'-x+1/2,y,-z+1/2'
'x+1/2,-y,z+1/2'
'y+1/4,x+3/4,-z+1/4'
'-y+1/4,-x+3/4,z+1/4'
'x+1/2,y+1/2,z+1/2'
'-x+1/2,-y+1/2,-z+1/2'
'-y+3/4,x+1/4,z+3/4'
'y+3/4,-x+1/4,-z+3/4'
'-x,-y+1/2,z'
'x,y+1/2,-z'
'y+3/4,-x+3/4,z+1/4'
'-y+3/4,x+3/4,-z+1/4'
'x+1/2,-y+1/2,-z+1/2'
'-x+1/2,y+1/2,z+1/2'
'-y+3/4,-x+3/4,-z+1/4'
'y+3/4,x+3/4,z+1/4'
'-x,y+1/2,-z'
'x,-y+1/2,z'
'y+3/4,x+1/4,-z+3/4'
'-y+3/4,-x+1/4,z+3/4'
loop_
_atom_site_label
_atom_site_fract_x
_atom_site_fract_y
_atom_site_fract_z
Na1 0.000 0.000 0.000
Pb1 0.000 0.250 0.375
F1 0.000 0.024 0.761
```

Principal peaks in the range 2θ from 10° to 90°, by angle:
two_theta  I/Imax  (hkl)
15.6  58  1 0 1
25.6  100  2 0 0
30.0  58  2 1 1
30.2  29  1 0 3
39.9  18  2 1 3
45.0  30  3 1 2
45.2  15  2 0 4
47.9  21  3 2 1
52.6  22  2 2 4
59.2  13  3 3 2

---

Diffraction record for K2CeTi2O7. The powder diffraction line list is computed, not measured: it uses a crystal structure in Alexandria, relaxed with GGA-PBE and Cu Kα.
Kinematic intensities with the Lorentz-polarization factor, no thermal factor.

Crystal structure
```
data_K2CeTi2O7
_cell_length_a 3.873
_cell_length_b 3.873
_cell_length_c 21.837
_cell_angle_alpha 90.00
_cell_angle_beta 90.00
_cell_angle_gamma 90.00
_space_group_name_H-M_alt 'I 4/m m m'
_space_group_IT_number 139
_space_group_name_Hall '-I 4 2'
loop_
_atom_site_label
_atom_site_fract_x
_atom_site_fract_y
_atom_site_fract_z
K1 0.000 0.000 0.193
Ce1 0.000 0.000 0.000
Ti1 0.000 0.000 0.404
O1 0.000 0.000 0.322
O2 0.000 0.000 0.500
O3 0.000 0.500 0.077
```

Principal peaks in the range 2θ from 10° to 90°, by angle:
two_theta  I/Imax  (hkl)
26.1  23  1 0 3
30.9  100  1 0 5
32.7  52  1 1 0
37.0  12  1 0 7
41.3  43  0 0 10
46.9  41  2 0 0
53.7  29  1 1 10
57.2  33  2 1 5
64.3  16  2 0 10
83.3  13  2 2 10

---

Diffraction record for CuGeAu6. The powder diffraction line list is computed, not measured: it uses a crystal structure in Alexandria, relaxed with GGA-PBE and Cu Kα.
Kinematic intensities with the Lorentz-polarization factor, no thermal factor.

Crystal structure
```
data_CuGeAu6
_cell_length_a 4.331
_cell_length_b 4.331
_cell_length_c 14.863
_cell_angle_alpha 90.00
_cell_angle_beta 90.00
_cell_angle_gamma 90.00
_space_group_name_H-M_alt 'I 4/m m m'
_space_group_IT_number 139
_space_group_name_Hall '-I 4 2'
loop_
_atom_site_label
_atom_site_fract_x
_atom_site_fract_y
_atom_site_fract_z
Cu1 0.000 0.000 0.000
Ge1 0.000 0.000 0.500
Au1 0.000 0.000 0.248
Au2 0.000 0.500 0.115
```

Principal peaks in the range 2θ from 10° to 90°, by angle:
two_theta  I/Imax  (hkl)
31.6  11  1 1 2
38.1  100  1 1 4
41.7  40  2 0 0
49.0  11  0 0 8
56.4  5  2 0 6
60.5  14  2 2 0
66.3  18  2 0 8
73.7  29  3 1 4
81.4  10  2 2 8
84.3  8  1 1 12

---

Diffraction record for TbEr3H8. The powder diffraction line list is computed, not measured: it uses a crystal structure in Alexandria, relaxed with GGA-PBE and Cu Kα.
Kinematic intensities with the Lorentz-polarization factor, no thermal factor.

Crystal structure
```
data_TbEr3H8
_cell_length_a 5.132
_cell_length_b 5.132
_cell_length_c 5.132
_cell_angle_alpha 90.00
_cell_angle_beta 90.00
_cell_angle_gamma 90.00
_space_group_name_H-M_alt 'P m -3 m'
_space_group_IT_number 221
_space_group_name_Hall '-P 4 2 3'
loop_
_atom_site_label
_atom_site_fract_x
_atom_site_fract_y
_atom_site_fract_z
Tb1 0.000 0.000 0.000
Er1 0.000 0.500 0.500
H1 0.253 0.253 0.253
```

Principal peaks in the range 2θ from 10° to 90°, by angle:
two_theta  I/Imax  (hkl)
30.2  100  1 1 1
35.0  49  2 0 0
50.3  37  2 2 0
59.8  44  3 1 1
62.7  12  2 2 2
73.9  6  4 0 0
81.8  18  3 3 1
84.4  17  4 2 0